# 1
Ce3Sb4Pt3: theoretical powder X-ray diffraction pattern (Cu Kα), based on a cell relaxed with PBE.
Kinematic intensities with the Lorentz-polarization factor, no thermal factor.

Crystal structure
```
Ce3Sb4Pt3
1.0
-4.9286 4.9286 4.9286
4.9286 -4.9286 4.9286
4.9286 4.9286 -4.9286
Ce Sb Pt
6 8 6
Cartesian
7.3930 1.2322 0.0000
3.6965 0.0000 2.4643
2.4643 3.6965 0.0000
0.0000 2.4643 3.6965
1.2322 0.0000 7.3930
0.0000 7.3930 1.2322
4.0886 0.8400 -0.8400
6.5529 -1.6243 1.6243
0.8400 0.8400 0.8400
0.8400 -0.8400 4.0886
-0.8400 4.0886 0.8400
1.6243 6.5529 -1.6243
3.3043 3.3043 3.3043
-1.6243 1.6243 6.5529
4.9286 -2.4643 3.6965
3.6965 4.9286 -2.4643
4.9286 2.4643 1.2322
2.4643 1.2322 4.9286
1.2322 4.9286 2.4643
-2.4643 3.6965 4.9286
```

Largest 8 diffraction maxima, by angle, 5° ≤ 2θ ≤ 70°:
2θ = 22.1°, rel. 27.1
2θ = 34.0°, rel. 100.0
2θ = 40.9°, rel. 47.5
2θ = 45.1°, rel. 14.1
2θ = 47.0°, rel. 14.9
2θ = 50.7°, rel. 14.0
2θ = 59.3°, rel. 11.5
2θ = 65.6°, rel. 11.0



# 2
Ag2PHO4: theoretical powder X-ray diffraction pattern (Cu Kα), based on a cell relaxed with PBE.
Kinematic intensities with the Lorentz-polarization factor, no thermal factor.

Crystal structure
```
Ag2PHO4
1.0
6.4684 0.0000 0.0000
-3.2342 5.6018 0.0000
0.0000 0.0000 8.6496
Ag P H O
6 3 3 12
Cartesian
0.6667 0.3849 0.0000
0.0000 2.2455 5.7664
-1.2895 4.4790 2.8832
1.2895 4.4790 0.0000
5.8017 0.3849 2.8832
3.2342 4.8319 5.7664
3.2342 0.0878 5.7664
1.6931 2.7570 2.8832
4.7752 2.7570 0.0000
3.2342 1.6972 1.4416
3.0869 1.9523 7.2080
3.3814 1.9523 4.3248
-0.3745 2.2689 7.9780
-1.4565 4.1430 0.6715
0.3745 2.2689 3.5547
-1.0820 4.7917 5.0949
2.4934 0.9829 6.8116
2.0979 1.6679 1.8380
1.4565 4.1430 2.2117
1.0820 4.7917 6.4379
3.9750 0.9829 4.7212
2.8387 2.9510 3.9284
4.3705 1.6679 1.0452
3.6296 2.9510 7.6043
```

Largest 8 diffraction maxima, by angle, 5° ≤ 2θ ≤ 70°:
2θ = 15.8°, rel. 40.0
2θ = 29.5°, rel. 100.0
2θ = 31.0°, rel. 30.1
2θ = 34.6°, rel. 44.5
2θ = 35.0°, rel. 23.7
2θ = 44.0°, rel. 23.6
2θ = 47.8°, rel. 16.6
2θ = 50.8°, rel. 20.7



# 3
La9PmPr2: theoretical powder X-ray diffraction pattern (Cu Kα), based on a cell relaxed with PBE.
Kinematic intensities with the Lorentz-polarization factor, no thermal factor.

Crystal structure
```
La9PmPr2
1.0
5.2480 0.0000 0.0000
0.0000 5.2480 0.0000
0.0000 0.0000 15.7416
La Pm Pr
9 1 2
Cartesian
0.0000 0.0000 0.0000
0.0000 0.0000 5.2394
0.0000 0.0000 10.5023
0.0000 2.6240 2.6112
0.0000 2.6240 7.8708
0.0000 2.6240 13.1304
2.6240 0.0000 2.6112
2.6240 0.0000 7.8708
2.6240 0.0000 13.1304
2.6240 2.6240 0.0000
2.6240 2.6240 5.2410
2.6240 2.6240 10.5006
```

Largest 5 diffraction maxima, by angle, 5° ≤ 2θ ≤ 70°:
2θ = 29.5°, rel. 100.0
2θ = 34.2°, rel. 50.7
2θ = 49.1°, rel. 36.4
2θ = 58.3°, rel. 43.4
2θ = 61.2°, rel. 12.5



# 4
Nd2Sm2YTm2: theoretical powder X-ray diffraction pattern (Cu Kα), based on a cell relaxed with PBE.
Kinematic intensities with the Lorentz-polarization factor, no thermal factor.

Crystal structure
```
Nd2Sm2YTm2
1.0
11.3651 0.0000 0.0000
0.0000 5.0849 0.0000
-1.1567 0.0000 7.9630
Nd Sm Y Tm
4 4 2 4
Cartesian
0.5677 0.0000 1.7341
3.9582 2.5425 6.2290
6.2502 2.5425 1.7341
9.6408 0.0000 6.2290
0.5567 2.5425 7.3982
3.9692 0.0000 0.5649
6.2393 0.0000 7.3982
9.6517 2.5425 0.5649
-0.5783 2.5425 3.9815
5.1042 0.0000 3.9815
1.6955 0.0000 5.1045
2.8304 2.5425 2.8586
7.3780 2.5425 5.1045
8.5129 0.0000 2.8586
```

Largest 8 diffraction maxima, by angle, 5° ≤ 2θ ≤ 70°:
2θ = 15.8°, rel. 1.1
2θ = 30.4°, rel. 100.0
2θ = 35.3°, rel. 16.9
2θ = 35.3°, rel. 33.7
2θ = 50.8°, rel. 36.0
2θ = 60.3°, rel. 28.5
2θ = 60.4°, rel. 14.2
2θ = 63.4°, rel. 12.3



# 5
Pr5Ni2Pb5: theoretical powder X-ray diffraction pattern (Cu Kα), based on a cell relaxed with PBE.
Kinematic intensities with the Lorentz-polarization factor, no thermal factor.

Crystal structure
```
Pr5Ni2Pb5
1.0
8.4502 -2.2654 0.0000
8.4502 2.2654 0.0000
-7.8517 0.0000 8.9423
Pr Ni Pb
5 2 5
Cartesian
0.0000 0.0000 0.0000
-1.2557 0.0000 3.7485
-3.1820 0.0000 7.3130
12.2307 0.0000 1.6293
10.3044 0.0000 5.1939
0.2261 0.0000 6.6959
8.8226 0.0000 2.2464
1.7879 0.0000 2.6968
6.2668 0.0000 1.3389
4.5244 0.0000 4.4712
2.7819 0.0000 7.6034
7.2608 0.0000 6.2455
```

Largest 8 diffraction maxima, by angle, 5° ≤ 2θ ≤ 70°:
2θ = 28.9°, rel. 20.8
2θ = 30.0°, rel. 100.0
2θ = 31.2°, rel. 48.8
2θ = 32.6°, rel. 27.7
2θ = 34.1°, rel. 29.2
2θ = 35.7°, rel. 79.7
2θ = 39.8°, rel. 44.0
2θ = 51.4°, rel. 28.4



# 6
Ac4Sc3O10: theoretical powder X-ray diffraction pattern (Cu Kα), based on a cell relaxed with PBE.
Kinematic intensities with the Lorentz-polarization factor, no thermal factor.

Crystal structure
```
Ac4Sc3O10
1.0
-2.0640 2.0640 14.7646
2.0640 -2.0640 14.7646
2.0640 2.0640 -14.7646
Ac Sc O
4 3 10
Cartesian
0.0000 0.0000 2.0094
0.0000 0.0000 5.9921
0.0000 0.0000 23.5372
0.0000 0.0000 27.5199
0.0000 0.0000 10.6303
0.0000 0.0000 14.7646
0.0000 0.0000 18.8990
2.0640 0.0000 0.0000
2.0640 0.0000 4.1521
0.0000 0.0000 8.4153
2.0640 0.0000 10.6126
0.0000 0.0000 12.6895
0.0000 2.0640 0.0000
0.0000 0.0000 16.8398
0.0000 2.0640 4.1521
0.0000 0.0000 21.1140
0.0000 2.0640 10.6126
```

Largest 8 diffraction maxima, by angle, 5° ≤ 2θ ≤ 70°:
2θ = 21.7°, rel. 40.7
2θ = 24.1°, rel. 18.2
2θ = 30.3°, rel. 100.0
2θ = 30.6°, rel. 58.7
2θ = 39.4°, rel. 34.7
2θ = 43.9°, rel. 31.5
2θ = 51.4°, rel. 15.4
2θ = 54.2°, rel. 41.3



# 7
Yb3Ag2: theoretical powder X-ray diffraction pattern (Cu Kα), based on a cell relaxed with PBE.
Kinematic intensities with the Lorentz-polarization factor, no thermal factor.

Crystal structure
```
Yb3Ag2
1.0
8.1202 0.0000 0.0000
0.0000 8.1202 0.0000
0.0000 0.0000 4.1715
Yb Ag
6 4
Cartesian
0.0000 0.0000 0.0000
1.3488 2.7113 2.0857
2.7113 6.7714 2.0857
4.0601 4.0601 0.0000
5.4089 1.3488 2.0857
6.7714 5.4089 2.0857
1.0387 5.0989 0.0000
3.0214 1.0387 0.0000
5.0989 7.0815 0.0000
7.0815 3.0214 0.0000
```

Largest 8 diffraction maxima, by angle, 5° ≤ 2θ ≤ 70°:
2θ = 30.7°, rel. 36.6
2θ = 32.7°, rel. 100.0
2θ = 34.9°, rel. 50.2
2θ = 43.4°, rel. 17.7
2θ = 51.3°, rel. 11.3
2θ = 52.6°, rel. 11.4
2θ = 56.9°, rel. 24.6
2θ = 65.9°, rel. 13.8



# 8
AlSb4Te: theoretical powder X-ray diffraction pattern (Cu Kα), based on a cell relaxed with PBE.
Kinematic intensities with the Lorentz-polarization factor, no thermal factor.

Crystal structure
```
AlSb4Te
1.0
0.0000 4.4217 4.4217
4.4217 0.0000 4.4217
4.4217 4.4217 0.0000
Al Sb Te
1 4 1
Cartesian
0.0000 0.0000 0.0000
5.5234 3.3201 3.3201
3.3201 5.5234 3.3201
3.3201 3.3201 5.5234
5.5234 5.5234 5.5234
2.2109 2.2109 2.2109
```

Largest 8 diffraction maxima, by angle, 5° ≤ 2θ ≤ 70°:
2θ = 17.4°, rel. 31.0
2θ = 28.5°, rel. 14.0
2θ = 33.6°, rel. 100.0
2θ = 35.2°, rel. 56.9
2θ = 40.8°, rel. 12.8
2θ = 53.9°, rel. 34.0
2θ = 59.1°, rel. 30.7
2θ = 69.7°, rel. 11.7